(1)
This entry pairs a crystal structure of Li3Fe4B4O12 with its computed X-ray powder pattern. Radiation: Cu Kα (λ = 1.5418 Å). Structure: a PBE+U-relaxed structure.

Cell and atoms:
Cell lengths 5.240, 9.027, 10.257 Å; angles 90.29, 91.50, 90.01 degrees
Space group P1 (No. 1)
Inequivalent atoms, fractional coordinates:
1 Li 0.000 0.000 0.000 [1 per cell]
2 Li 0.000 0.010 0.496 [1 per cell]
3 Li 0.319 0.996 0.247 [1 per cell]
4 Li 0.323 0.013 0.752 [1 per cell]
5 Li 0.496 0.505 0.483 [1 per cell]
6 Li 0.822 0.516 0.741 [1 per cell]
7 Fe 0.322 0.349 0.716 [1 per cell]
8 Fe 0.327 0.665 0.217 [1 per cell]
9 Fe 0.499 0.168 0.470 [1 per cell]
10 Fe 0.511 0.827 0.963 [1 per cell]
11 Fe 0.810 0.181 0.221 [1 per cell]
12 Fe 0.818 0.845 0.712 [1 per cell]
13 Fe 0.992 0.662 0.462 [1 per cell]
14 Fe 0.998 0.340 0.964 [1 per cell]
15 B 0.007 0.674 0.964 [1 per cell]
16 B 0.318 0.334 0.213 [1 per cell]
17 B 0.323 0.675 0.708 [1 per cell]
18 B 0.488 0.170 0.958 [1 per cell]
19 B 0.496 0.837 0.457 [1 per cell]
20 B 0.824 0.173 0.714 [1 per cell]
21 B 0.836 0.840 0.214 [1 per cell]
22 B 0.995 0.336 0.468 [1 per cell]
23 O 0.064 0.671 0.676 [1 per cell]
24 O 0.076 0.325 0.154 [1 per cell]
25 O 0.245 0.682 0.026 [1 per cell]
26 O 0.254 0.339 0.505 [1 per cell]
27 O 0.350 0.964 0.447 [1 per cell]
28 O 0.357 0.299 0.925 [1 per cell]
29 O 0.360 0.037 0.953 [1 per cell]
30 O 0.383 0.701 0.423 [1 per cell]
31 O 0.433 0.468 0.236 [1 per cell]
32 O 0.437 0.807 0.751 [1 per cell]
33 O 0.438 0.203 0.251 [1 per cell]
34 O 0.471 0.550 0.695 [1 per cell]
35 O 0.564 0.167 0.683 [1 per cell]
36 O 0.572 0.831 0.189 [1 per cell]
37 O 0.748 0.177 0.991 [1 per cell]
38 O 0.751 0.843 0.498 [1 per cell]
39 O 0.849 0.460 0.473 [1 per cell]
40 O 0.883 0.805 0.928 [1 per cell]
41 O 0.884 0.200 0.430 [1 per cell]
42 O 0.895 0.539 0.935 [1 per cell]
43 O 0.936 0.306 0.758 [1 per cell]
44 O 0.961 0.973 0.195 [1 per cell]
45 O 0.970 0.716 0.254 [1 per cell]
46 O 0.974 0.048 0.699 [1 per cell]

Main lines, by angle (2θ = 10–90°):
19.6°, rel. 93, (0 2 0); 21.5°, rel. 48, (0 2 1); 21.6°, rel. 81, (1 1 1); 25.9°, rel. 55, (1 1 -2); 26.6°, rel. 39, (1 1 2); 34.2°, rel. 27, (2 0 0); 34.4°, rel. 68, (1 -3 0); 35.0°, rel. 100, (0 0 4); 40.6°, rel. 49, (2 2 -1); 41.0°, rel. 28, (0 4 1); 54.0°, rel. 21, (3 1 -1); 61.4°, rel. 23, (3 3 0)



(2)
This entry pairs a crystal structure of Li4Ti3Fe3O12 with its computed X-ray powder pattern. Radiation: Cu Kα (λ = 1.5418 Å). Structure: a PBE+U-relaxed structure.

Cell and atoms:
Cell lengths 6.014, 6.045, 6.704 Å; angles 103.35, 102.48, 91.10 degrees
Space group P-1 (No. 2)
Inequivalent atoms, fractional coordinates:
1 Li 0.000 0.000 0.000 [1 per cell]
2 Li 0.174 0.665 0.665 [2 per cell]
3 Li 0.500 0.000 0.000 [1 per cell]
4 Ti 0.172 0.174 0.648 [2 per cell]
5 Ti 0.500 0.500 0.000 [1 per cell]
6 Fe 0.000 0.500 0.000 [1 per cell]
7 Fe 0.336 0.823 0.338 [2 per cell]
8 O 0.065 0.605 0.323 [2 per cell]
9 O 0.071 0.065 0.347 [2 per cell]
10 O 0.248 0.267 0.978 [2 per cell]
11 O 0.260 0.730 0.007 [2 per cell]
12 O 0.400 0.949 0.662 [2 per cell]
13 O 0.410 0.409 0.690 [2 per cell]

Main lines, by angle (2θ = 10–90°):
17.9°, rel. 100, (0 1 -1); 34.8°, rel. 12, (-2 1 1); 35.2°, rel. 25, (0 1 2); 36.7°, rel. 5, (0 2 1); 42.0°, rel. 24, (2 -2 0); 42.7°, rel. 22, (0 0 3); 42.8°, rel. 22, (2 2 -1); 61.1°, rel. 6, (2 -2 3); 61.4°, rel. 6, (0 4 -1); 61.7°, rel. 12, (4 0 -1); 62.2°, rel. 6, (2 2 2); 65.2°, rel. 6, (2 1 3)



(3)
This entry pairs a crystal structure of Li7Cr3W2O16 with its computed X-ray powder pattern. Radiation: Cu Kα (λ = 1.5418 Å). Structure: a PBE+U-relaxed structure.

Cell and atoms:
Cell lengths 10.254, 5.887, 9.688 Å; angles 90.00, 90.30, 90.00 degrees
Space group Cm (No. 8)
Inequivalent atoms, fractional coordinates:
1 Li 0.000 0.000 0.000 [2 per cell]
2 Li 0.003 0.500 0.193 [2 per cell]
3 Li 0.084 0.246 0.692 [4 per cell]
4 Li 0.168 0.500 0.906 [2 per cell]
5 Li 0.173 0.500 0.414 [2 per cell]
6 Li 0.332 0.000 0.499 [2 per cell]
7 Cr 0.263 0.248 0.182 [4 per cell]
8 Cr 0.347 0.500 0.666 [2 per cell]
9 W 0.020 0.000 0.414 [2 per cell]
10 W 0.333 0.000 0.906 [2 per cell]
11 O 0.087 0.245 0.312 [4 per cell]
12 O 0.149 0.000 0.547 [2 per cell]
13 O 0.176 0.500 0.103 [2 per cell]
14 O 0.188 0.000 0.061 [2 per cell]
15 O 0.188 0.500 0.608 [2 per cell]
16 O 0.253 0.240 0.816 [4 per cell]
17 O 0.315 0.000 0.292 [2 per cell]
18 O 0.341 0.500 0.301 [2 per cell]
19 O 0.398 0.228 0.062 [4 per cell]
20 O 0.419 0.288 0.547 [4 per cell]
21 O 0.468 0.500 0.789 [2 per cell]
22 O 0.494 0.000 0.827 [2 per cell]

Main lines, by angle (2θ = 10–90°):
17.3°, rel. 33, (2 0 0); 19.6°, rel. 100, (2 0 1); 19.7°, rel. 56, (1 1 1); 25.3°, rel. 21, (2 0 -2); 25.4°, rel. 24, (1 1 2); 30.2°, rel. 17, (3 1 0); 32.7°, rel. 29, (2 0 -3); 32.9°, rel. 18, (2 0 3); 35.5°, rel. 20, (3 1 -2); 35.7°, rel. 34, (0 2 2); 36.4°, rel. 16, (2 2 -1); 47.9°, rel. 15, (5 1 -1)